[1]
Structure and calculated powder X-ray diffraction pattern of LiNi3C (a cell relaxed with GGA-PBE; Cu Kα X-rays).

Cell and atoms:
Lattice parameters (Å, degrees): 6.851 6.851 6.851 142.00 142.00 54.83
Fractional coordinates of all 10 atoms:
Li (0.185, 0.185, 0.000)
Li (0.815, 0.815, 0.000)
Ni (0.051, 0.551, 0.500)
Ni (0.121, 0.376, 0.745)
Ni (0.449, 0.949, 0.500)
Ni (0.624, 0.370, 0.745)
Ni (0.624, 0.879, 0.255)
Ni (0.630, 0.376, 0.255)
C (0.500, 0.500, 0.000)
C (0.750, 0.250, 0.500)

Peak list (10 most intense, 10° ≤ 2θ ≤ 90°, low angle first)
2theta, I/Imax
14.57, 42
21.22, 100
28.29, 28
29.37, 32
42.32, 61
43.21, 82
46.11, 39
51.02, 70
56.87, 24
66.83, 26


[2]
Structure and calculated powder X-ray diffraction pattern of LiNi3C (a cell relaxed with GGA-PBE; Cu Kα X-rays).

Cell and atoms:
Lattice parameters (Å, degrees): 5.256 5.256 5.248 119.08 119.08 61.05
Fractional coordinates of all 10 atoms:
Li (0.249, 0.751, 0.750)
Li (0.751, 0.249, 0.250)
Ni (0.225, 0.775, 0.250)
Ni (0.252, 0.274, 0.274)
Ni (0.274, 0.252, 0.774)
Ni (0.726, 0.748, 0.226)
Ni (0.748, 0.726, 0.726)
Ni (0.775, 0.225, 0.750)
C (0.000, 0.500, 0.000)
C (0.500, 0.000, 0.500)

Peak list (10 most intense, 10° ≤ 2θ ≤ 90°, low angle first)
2theta, I/Imax
23.78, 88
33.63, 19
34.14, 16
41.57, 89
41.69, 44
42.46, 45
48.68, 100
70.78, 17
71.86, 19
86.16, 17